No. 1
Structure and computed PXRD pattern of CeZn2In2 (a crystal structure in Alexandria, relaxed with PBE; Cu Kα (λ = 1.5418 Å)).

Main lines, by intensity (2θ from 15° to 90°):
d [Å], 2theta, Rel. int.
2.390, 37.64, 100
2.534, 35.42, 62
3.104, 28.76, 48
2.879, 31.07, 29
2.325, 38.73, 17
1.839, 49.56, 16
1.486, 62.49, 16
1.393, 67.23, 16
2.752, 32.54, 15
1.898, 47.92, 12

Atomic structure:
```
CeZn2In2
1.0
4.194 -2.391 0.000
4.194 2.391 0.000
-1.839 0.000 5.695
Ce Zn In
1 2 2
direct
0.000 0.000 0.000
0.394 0.394 0.266
0.606 0.606 0.734
0.261 0.261 0.681
0.739 0.739 0.319
```

=====

No. 2
Structure and computed PXRD pattern of HfPbI2N (a crystal structure in Alexandria, relaxed with PBE; Cu Kα (λ = 1.5418 Å)).

Main lines, by intensity (2θ from 15° to 90°):
d [Å], 2theta, Rel. int.
2.911, 30.72, 100
3.394, 26.26, 95
2.210, 40.84, 61
2.932, 30.49, 42
1.697, 54.03, 41
2.058, 43.99, 37
1.466, 63.45, 25
1.105, 88.50, 21
2.089, 43.31, 19
1.506, 61.58, 19

Atomic structure:
```
HfPbI2N
1.0
5.822 0.000 0.000
0.000 5.822 0.000
0.000 0.000 4.178
Hf Pb I N
1 1 2 1
direct
0.000 0.000 0.000
0.500 0.500 0.500
0.000 0.500 0.000
0.500 0.000 0.000
0.000 0.000 0.500
```

=====

No. 3
Structure and computed PXRD pattern of DyThSi4 (a crystal structure in Alexandria, relaxed with PBE; Cu Kα (λ = 1.5418 Å)).

Main lines, by intensity (2θ from 15° to 90°):
d [Å], 2theta, Rel. int.
2.687, 33.35, 100
3.590, 24.80, 57
2.657, 33.73, 49
2.045, 44.29, 29
3.519, 25.31, 27
4.052, 21.93, 25
1.641, 56.04, 23
1.439, 64.77, 19
1.765, 51.81, 16
2.087, 43.37, 15

Atomic structure:
```
DyThSi4
1.0
7.038 0.000 0.000
0.000 16.692 0.000
0.000 0.000 4.052
Dy Th Si
4 4 16
direct
0.249 0.061 0.000
0.251 0.561 0.000
0.749 0.439 0.000
0.751 0.939 0.000
0.249 0.314 0.000
0.251 0.814 0.000
0.749 0.186 0.000
0.751 0.686 0.000
0.080 0.438 0.500
0.082 0.187 0.500
0.082 0.939 0.500
0.085 0.686 0.500
0.415 0.186 0.500
0.418 0.439 0.500
0.418 0.687 0.500
0.420 0.938 0.500
0.580 0.062 0.500
0.582 0.313 0.500
0.582 0.561 0.500
0.585 0.814 0.500
0.915 0.314 0.500
0.918 0.061 0.500
0.918 0.813 0.500
0.920 0.562 0.500
```

=====

> Number 3 is which compound?

DyThSi4